(1)
Calculated powder diffraction line list
Compound: YAl6Pd12
Radiation: a wavelength of 1.5418 Å
Structure: a crystal structure in Alexandria, relaxed with GGA-PBE
Peak positions follow from Bragg's law for the DFT cell and can differ from measured ones.

Peak list (10 most intense, 15 to 90 degrees two-theta, low angle first)
d/Å, I/Imax
3.831, 16.2
3.312, 15.7
2.615, 100.0
2.493, 54.5
2.198, 19.7
2.124, 35.6
1.914, 21.9
1.792, 39.7
1.435, 18.3
1.422, 17.9

Structural model:
abc: 11.4721 11.4721 8.3035
angles: 90.00 90.00 120.00
Space group R-3m (No. 166, hexagonal axes)
One atom of each set of equivalent atoms:
Y (0.0000, 0.0000, 0.0000)
Al (0.0408, 0.5204, 0.2504)
Pd (0.0000, 0.3796, 0.5000)
Pd (0.0823, 0.1646, 0.3237)

***

(2)
Calculated powder diffraction line list
Compound: Y2Al3Pd2
Radiation: a wavelength of 1.5418 Å
Structure: a crystal structure in Alexandria, relaxed with GGA-PBE
Peak positions follow from Bragg's law for the DFT cell and can differ from measured ones.

Peak list (10 most intense, 15 to 90 degrees two-theta, low angle first)
d/Å, I/Imax
3.923, 63.6
3.116, 49.7
2.684, 46.3
2.508, 68.1
2.393, 100.0
2.306, 33.5
2.253, 43.6
2.167, 42.9
1.779, 19.6
1.579, 20.1

Structural model:
abc: 10.1549 4.3349 6.8618
angles: 90.00 114.72 90.00
Space group C2/m (No. 12)
One atom of each set of equivalent atoms:
Y (0.1485, 0.0000, 0.2781)
Al (0.0000, 0.5000, 0.5000)
Al (0.1216, 0.5000, 0.9384)
Pd (0.1361, 0.0000, 0.7218)

***

(3)
Calculated powder diffraction line list
Compound: YAl12Pd6
Radiation: a wavelength of 1.5418 Å
Structure: a crystal structure in Alexandria, relaxed with GGA-PBE
Peak positions follow from Bragg's law for the DFT cell and can differ from measured ones.

Peak list (10 most intense, 15 to 90 degrees two-theta, low angle first)
d/Å, I/Imax
3.424, 100.0
3.266, 90.5
2.842, 85.9
2.832, 43.7
2.187, 70.9
2.178, 51.6
2.145, 36.7
2.006, 49.3
1.996, 80.5
1.386, 43.1

Structural model:
abc: 11.3694 11.3694 8.7315
angles: 90.00 90.00 120.00
Space group R-3m (No. 166, hexagonal axes)
One atom of each set of equivalent atoms:
Y (0.0000, 0.0000, 0.0000)
Al (0.0000, 0.3854, 0.5000)
Al (0.0837, 0.1674, 0.3152)
Pd (0.0473, 0.5236, 0.2438)

***

(4)
Calculated powder diffraction line list
Compound: Y2AlZn2Pd5
Radiation: a wavelength of 1.5418 Å
Structure: a crystal structure in Alexandria, relaxed with GGA-PBE
Peak positions follow from Bragg's law for the DFT cell and can differ from measured ones.

Peak list (10 most intense, 15 to 90 degrees two-theta, low angle first)
d/Å, I/Imax
2.935, 13.9
2.811, 14.5
2.517, 17.7
2.375, 54.5
2.366, 100.0
2.308, 28.1
2.182, 48.2
2.036, 21.8
1.833, 25.3
1.451, 22.4

Structural model:
abc: 9.7905 9.7905 3.6669
angles: 90.00 90.00 90.00
Space group P4/mbm (No. 127)
One atom of each set of equivalent atoms:
Y (0.1747, 0.3253, 0.0000)
Al (0.0000, 0.0000, 0.0000)
Zn (0.1238, 0.6238, 0.0000)
Pd (0.0000, 0.5000, 0.5000)
Pd (0.0618, 0.8003, 0.5000)